# LaPm6Nd2Mg
Theoretical powder diffractogram, Cu Kα, 1.54184 Å. Input: a GGA-PBE-relaxed structure.

Main lines, low angle first (15 to 90 degrees two-theta):
- 29.5 deg, intensity 57, (1 3 2)
- 30.0 deg, intensity 53, (3 1 -2)
- 30.5 deg, intensity 52, (3 1 1)
- 31.1 deg, intensity 100, (0 2 3)
- 31.2 deg, intensity 53, (2 4 0)
- 31.6 deg, intensity 59, (2 4 -1)

Crystal structure
Lattice parameters (Å, degrees): 10.3480 13.9021 9.6702 90.00 101.42 90.00
Space group C2/c (No. 15)
Symmetry-distinct sites (fractional):
La: 0.0000 0.0648 0.2500
Pm: 0.0516 0.3808 0.0952
Pm: 0.0954 0.1746 0.9259
Pm: 0.2471 0.2174 0.3287
Nd: 0.2381 0.0313 0.5912
Mg: 0.0000 0.3990 0.7500

# La3Pr6Nd2Mg
Theoretical powder diffractogram, Cu Kα, 1.54184 Å. Input: a GGA-PBE-relaxed structure.

Main lines, low angle first (15 to 90 degrees two-theta):
- 29.8 deg, intensity 100, (1 3 1)
- 29.8 deg, intensity 33, (0 0 4)
- 34.5 deg, intensity 67, (2 0 2)
- 49.6 deg, intensity 32, (0 6 0)
- 58.9 deg, intensity 33, (4 0 0)
- 61.8 deg, intensity 16, (4 0 -4)

Crystal structure
Lattice parameters (Å, degrees): 6.3637 11.0400 12.1817 90.00 100.15 90.00
Space group C2/m (No. 12)
Symmetry-distinct sites (fractional):
La: 0.0000 0.0000 0.0000
La: 0.0000 0.3314 0.0000
Pr: 0.2458 0.3350 0.7458
Pr: 0.2485 0.5000 0.2525
Nd: 0.0000 0.1669 0.5000
Mg: 0.0000 0.5000 0.5000

# LaPr2Nd5Mg
Theoretical powder diffractogram, Cu Kα, 1.54184 Å. Input: a GGA-PBE-relaxed structure.

Main lines, low angle first (15 to 90 degrees two-theta):
- 27.5 deg, intensity 12, (0 6 1)
- 29.4 deg, intensity 30, (1 1 3)
- 31.6 deg, intensity 100, (2 0 0)
- 32.7 deg, intensity 12, (0 0 4)
- 56.3 deg, intensity 17, (3 5 2)
- 59.9 deg, intensity 9, (2 6 5)

Crystal structure
Lattice parameters (Å, degrees): 5.6553 20.3434 10.9665 90.00 90.00 90.00
Space group Cmc2_1 (No. 36)
Symmetry-distinct sites (fractional):
La: 0.0000 0.2007 0.0000
Pr: 0.0000 0.1151 0.2912
Pr: 0.0000 0.1152 0.7089
Nd: 0.0000 0.0131 0.9998
Nd: 0.0000 0.2888 0.2998
Nd: 0.0000 0.2897 0.6997
Nd: 0.0000 0.3830 0.0000
Nd: 0.0000 0.4994 0.7490
Mg: 0.0000 0.4061 0.4981

# La2Nd2SmMg5
Theoretical powder diffractogram, Cu Kα, 1.54184 Å. Input: a GGA-PBE-relaxed structure.

Main lines, low angle first (15 to 90 degrees two-theta):
- 17.0 deg, intensity 82, (0 0 1)
- 26.2 deg, intensity 43, (3 1 0)
- 31.4 deg, intensity 100, (3 1 1)
- 34.4 deg, intensity 47, (0 0 2)
- 34.6 deg, intensity 30, (3 2 1)
- 43.8 deg, intensity 22, (3 1 2)

Crystal structure
Lattice parameters (Å, degrees): 10.7650 10.7650 5.2093 90.00 90.00 90.00
Space group P4/mbm (No. 127)
Symmetry-distinct sites (fractional):
La: 0.1746 0.3254 0.0000
Nd: 0.1233 0.6233 0.0000
Sm: 0.0000 0.0000 0.0000
Mg: 0.0000 0.5000 0.5000
Mg: 0.0739 0.8052 0.5000

# La2Nd4Sm2Mg
Theoretical powder diffractogram, Cu Kα, 1.54184 Å. Input: a GGA-PBE-relaxed structure.

Main lines, low angle first (15 to 90 degrees two-theta):
- 27.9 deg, intensity 53, (2 0 0)
- 31.1 deg, intensity 76, (2 1 0)
- 31.4 deg, intensity 84, (1 -2 0)
- 31.5 deg, intensity 75, (0 1 -2)
- 31.8 deg, intensity 73, (-1 1 2)
- 32.8 deg, intensity 100, (2 0 2)

Crystal structure
Lattice parameters (Å, degrees): 6.6018 6.6451 7.6557 74.84 75.50 85.43
Space group P-1 (No. 2)
Symmetry-distinct sites (fractional):
La: 0.1874 0.1266 0.2830
Nd: 0.2113 0.1669 0.8051
Nd: 0.3233 0.6694 0.0967
Sm: 0.3704 0.7035 0.6066
Mg: 0.0000 0.5000 0.5000

# LaNd2Sm2Mg
Theoretical powder diffractogram, Cu Kα, 1.54184 Å. Input: a GGA-PBE-relaxed structure.

Main lines, low angle first (15 to 90 degrees two-theta):
- 26.1 deg, intensity 96, (0 1 1)
- 29.0 deg, intensity 95, (2 1 0)
- 31.7 deg, intensity 87, (1 6 0)
- 35.1 deg, intensity 100, (1 4 1)
- 40.0 deg, intensity 65, (2 2 1)
- 52.8 deg, intensity 69, (0 0 2)

Crystal structure
Lattice parameters (Å, degrees): 6.2392 19.0239 3.4671 90.00 90.00 90.00
Space group Pnnm (No. 58)
Symmetry-distinct sites (fractional):
La: 0.0000 0.0000 0.0000
Nd: 0.1657 0.3632 0.5000
Sm: 0.1645 0.2018 0.0000
Mg: 0.0000 0.5000 0.0000

# La2TbNdMg
Theoretical powder diffractogram, Cu Kα, 1.54184 Å. Input: a GGA-PBE-relaxed structure.

Main lines, low angle first (15 to 90 degrees two-theta):
- 29.7 deg, intensity 42, (1 0 -3)
- 30.9 deg, intensity 61, (0 2 0)
- 31.6 deg, intensity 100, (2 1 -1)
- 31.9 deg, intensity 92, (1 1 2)
- 33.6 deg, intensity 28, (1 1 -3)
- 43.4 deg, intensity 30, (1 2 -3)

Crystal structure
Lattice parameters (Å, degrees): 6.5078 5.7849 9.2032 90.00 106.33 90.00
Space group P2_1/m (No. 11)
Symmetry-distinct sites (fractional):
La: 0.0336 0.2500 0.3351
La: 0.1233 0.7500 0.0965
Tb: 0.3793 0.7500 0.4856
Nd: 0.4573 0.2500 0.1186
Mg: 0.2846 0.2500 0.7199

# LaNdMgZr
Theoretical powder diffractogram, Cu Kα, 1.54184 Å. Input: a GGA-PBE-relaxed structure.

Main lines, low angle first (15 to 90 degrees two-theta):
- 22.9 deg, intensity 20, (2 0 0)
- 32.6 deg, intensity 100, (2 2 0)
- 46.7 deg, intensity 18, (4 0 0)
- 58.1 deg, intensity 38, (4 2 2)
- 68.2 deg, intensity 11, (4 4 0)
- 77.7 deg, intensity 16, (6 2 0)

Crystal structure
Lattice parameters (Å, degrees): 7.7744 7.7744 7.7744 90.00 90.00 90.00
Space group F-43m (No. 216)
Symmetry-distinct sites (fractional):
La: 0.0000 0.0000 0.0000
Nd: 0.0000 0.0000 0.5000
Mg: 0.2500 0.2500 0.2500
Zr: 0.2500 0.2500 0.7500

# La8MgNi2
Theoretical powder diffractogram, Cu Kα, 1.54184 Å. Input: a GGA-PBE-relaxed structure.

Main lines, low angle first (15 to 90 degrees two-theta):
- 29.3 deg, intensity 72, (2 0 1)
- 29.7 deg, intensity 94, (0 4 1)
- 31.8 deg, intensity 43, (1 1 -2)
- 32.6 deg, intensity 51, (3 1 -1)
- 32.9 deg, intensity 100, (2 4 0)
- 34.4 deg, intensity 45, (0 2 2)

Crystal structure
Lattice parameters (Å, degrees): 8.6896 14.2315 5.7765 90.00 103.75 90.00
Space group Cm (No. 8)
Symmetry-distinct sites (fractional):
La: 0.0000 0.0000 0.0000
La: 0.0954 0.2473 0.7959
La: 0.1863 0.0000 0.5907
La: 0.3054 0.3739 0.3611
La: 0.3827 0.1259 0.2320
Mg: 0.0929 0.5000 0.7964
Ni: 0.0933 0.2087 0.2945

# La3MgNi3
Theoretical powder diffractogram, Cu Kα, 1.54184 Å. Input: a GGA-PBE-relaxed structure.

Main lines, low angle first (15 to 90 degrees two-theta):
- 29.5 deg, intensity 35, (0 2 4)
- 29.9 deg, intensity 44, (1 1 3)
- 33.3 deg, intensity 72, (1 3 0)
- 34.1 deg, intensity 71, (1 1 4)
- 38.2 deg, intensity 100, (1 3 3)
- 44.7 deg, intensity 33, (2 0 0)

Crystal structure
Lattice parameters (Å, degrees): 4.0515 10.7825 14.6042 90.00 90.00 90.00
Space group Cmcm (No. 63)
Symmetry-distinct sites (fractional):
La: 0.0000 0.0255 0.2500
La: 0.0000 0.2961 0.1073
Mg: 0.0000 0.0000 0.0000
Ni: 0.0000 0.2663 0.7500
Ni: 0.0000 0.4023 0.6026

# La11Mg9Ni4
Theoretical powder diffractogram, Cu Kα, 1.54184 Å. Input: a GGA-PBE-relaxed structure.

Main lines, low angle first (15 to 90 degrees two-theta):
- 18.0 deg, intensity 18, (3 1 0)
- 23.2 deg, intensity 25, (0 0 1)
- 23.4 deg, intensity 35, (4 0 0)
- 33.2 deg, intensity 100, (0 6 1)
- 33.4 deg, intensity 33, (4 6 0)
- 35.3 deg, intensity 29, (3 5 1)

Crystal structure
Lattice parameters (Å, degrees): 15.1797 22.8066 3.8350 90.00 90.00 90.00
Space group Cmmm (No. 65)
Symmetry-distinct sites (fractional):
La: 0.0000 0.0000 0.0000
La: 0.0000 0.1555 0.0000
La: 0.0000 0.3725 0.0000
La: 0.1873 0.5000 0.0000
La: 0.2474 0.3325 0.0000
Mg: 0.0000 0.5000 0.5000
Mg: 0.1037 0.2590 0.5000
Mg: 0.1498 0.0702 0.5000
Ni: 0.1497 0.4010 0.5000

# LaMg9Ni3
Theoretical powder diffractogram, Cu Kα, 1.54184 Å. Input: a GGA-PBE-relaxed structure.

Main lines, low angle first (15 to 90 degrees two-theta):
- 19.0 deg, intensity 31, (1 1 -1)
- 26.1 deg, intensity 38, (1 3 -1)
- 31.8 deg, intensity 28, (1 3 1)
- 36.6 deg, intensity 23, (1 5 -1)
- 37.3 deg, intensity 100, (0 4 2)
- 38.5 deg, intensity 40, (2 2 -2)

Crystal structure
Lattice parameters (Å, degrees): 5.4603 14.1222 7.0544 90.00 110.05 90.00
Space group C2/m (No. 12)
Symmetry-distinct sites (fractional):
La: 0.0000 0.0000 0.0000
Mg: 0.0000 0.0000 0.5000
Mg: 0.0866 0.3862 0.2159
Mg: 0.1489 0.1805 0.3226
Ni: 0.0000 0.5000 0.5000
Ni: 0.2500 0.2500 0.0000